# NaNbInP3O12
Simulated powder XRD pattern, Cu Kα (weighted mean of Kα1 and Kα2). Input: a DFT-relaxed cell (GGA-PBE, the Materials Project).

Most intense lines, 10° ≤ 2θ ≤ 90°, sorted by position:
- 13.87°, rel. 32
- 19.22°, rel. 78
- 20.10°, rel. 100
- 23.20°, rel. 68
- 27.95°, rel. 51
- 30.76°, rel. 85
- 35.18°, rel. 38
- 47.42°, rel. 30

Crystal structure
Unit cell a=9.2546 b=9.2546 c=9.2546 alpha=57.03 beta=57.03 gamma=57.03
Fractional coordinates of all 36 atoms:
Na1 0.0000 0.0000 0.0000
Na2 0.5000 0.5000 0.5000
Nb1 0.1485 0.1485 0.1485
Nb2 0.6485 0.6485 0.6485
In1 0.3549 0.3549 0.3549
In2 0.8549 0.8549 0.8549
P1 0.0439 0.4645 0.7524
P2 0.2524 0.9645 0.5439
P3 0.4645 0.7524 0.0439
P4 0.5439 0.2524 0.9645
P5 0.7524 0.0439 0.4645
P6 0.9645 0.5439 0.2524
O1 0.0205 0.6232 0.7793
O2 0.0634 0.2864 0.9316
O3 0.0905 0.9291 0.7200
O4 0.1232 0.5205 0.2793
O5 0.2200 0.4291 0.5905
O6 0.2287 0.9986 0.3692
O7 0.2793 0.1232 0.5205
O8 0.2864 0.9316 0.0634
O9 0.3692 0.2287 0.9986
O10 0.4291 0.5905 0.2200
O11 0.4316 0.7864 0.5634
O12 0.4986 0.7287 0.8692
O13 0.5205 0.2793 0.1232
O14 0.5634 0.4316 0.7864
O15 0.5905 0.2200 0.4291
O16 0.6232 0.7793 0.0205
O17 0.7200 0.0905 0.9291
O18 0.7287 0.8692 0.4986
O19 0.7793 0.0205 0.6232
O20 0.7864 0.5634 0.4316
O21 0.8692 0.4986 0.7287
O22 0.9291 0.7200 0.0905
O23 0.9316 0.0634 0.2864
O24 0.9986 0.3692 0.2287